[1]
Starting from a DFT-relaxed cell (GGA-PBE, OQMD), the X-ray powder pattern of HoEr2Cu4Si2Sn2 was computed for Cu Kα, 1.54184 Å.
Kinematic intensities with the Lorentz-polarization factor, no thermal factor.

Structure:
```
data_HoEr2Cu4Si2Sn2
_cell_length_a 4.2899
_cell_length_b 6.6218
_cell_length_c 14.2756
_cell_angle_alpha 90.00
_cell_angle_beta 90.00
_cell_angle_gamma 90.00
_space_group_name_H-M_alt 'I m m m'
_space_group_IT_number 71
_space_group_name_Hall '-I 2 2'
loop_
_atom_site_label
_atom_site_fract_x
_atom_site_fract_y
_atom_site_fract_z
Ho1 0.0000 0.0000 0.0000
Er1 0.0000 0.5000 0.1234
Cu1 0.0000 0.3094 0.3459
Si1 0.0000 0.1818 0.5000
Sn1 0.0000 0.0000 0.2187
```

Main lines, by intensity (5 to 70 degrees two-theta):
2θ/deg	intensity	index
35.41	100	1 1 4
34.80	65	1 2 1
34.20	34	0 1 5
42.13	30	2 0 0
26.93	21	0 2 0
55.34	17	2 1 5
39.24	17	1 2 3
21.63	15	1 0 1
45.29	13	0 3 3
52.40	11	0 3 5

[2]
Starting from a DFT-relaxed cell (GGA-PBE, OQMD), the X-ray powder pattern of HoErCu2Sn was computed for Cu Kα, 1.54184 Å.
Kinematic intensities with the Lorentz-polarization factor, no thermal factor.

Structure:
```
data_HoErCu2Sn
_cell_length_a 3.5969
_cell_length_b 4.2111
_cell_length_c 13.6783
_cell_angle_alpha 90.00
_cell_angle_beta 90.00
_cell_angle_gamma 90.00
_space_group_name_H-M_alt 'A m m 2'
_space_group_IT_number 38
loop_
_space_group_symop_operation_xyz
'x,y,z'
'-x,-y,z'
'-x,y,z'
'x,-y,z'
'x,y+1/2,z+1/2'
'-x,-y+1/2,z+1/2'
'-x,y+1/2,z+1/2'
'x,-y+1/2,z+1/2'
loop_
_atom_site_label
_atom_site_fract_x
_atom_site_fract_y
_atom_site_fract_z
Ho1 0.0000 0.0000 0.0000
Er1 0.0000 0.0000 0.2633
Cu1 0.5000 0.0000 0.4299
Cu2 0.5000 0.0000 0.8324
Sn1 0.5000 0.0000 0.6318
```

Main lines, by intensity (5 to 70 degrees two-theta):
2θ/deg	intensity	index
33.41	100	1 1 1
36.25	65	1 0 4
39.27	42	0 1 5
28.86	36	0 1 3
57.43	35	1 2 4
42.95	29	0 2 0
38.38	28	1 1 3
50.76	18	2 0 0
66.01	18	2 1 5
68.63	15	2 2 0

[3]
Starting from a DFT-relaxed cell (GGA-PBE, OQMD), the X-ray powder pattern of HoErTlCu2 was computed for Cu Kα, 1.54184 Å.
Kinematic intensities with the Lorentz-polarization factor, no thermal factor.

Structure:
```
data_HoErTlCu2
_cell_length_a 3.5900
_cell_length_b 4.2288
_cell_length_c 13.9695
_cell_angle_alpha 90.00
_cell_angle_beta 90.00
_cell_angle_gamma 90.00
_space_group_name_H-M_alt 'A m m 2'
_space_group_IT_number 38
loop_
_space_group_symop_operation_xyz
'x,y,z'
'-x,-y,z'
'-x,y,z'
'x,-y,z'
'x,y+1/2,z+1/2'
'-x,-y+1/2,z+1/2'
'-x,y+1/2,z+1/2'
'x,-y+1/2,z+1/2'
loop_
_atom_site_label
_atom_site_fract_x
_atom_site_fract_y
_atom_site_fract_z
Ho1 0.0000 0.0000 0.0000
Er1 0.0000 0.0000 0.7304
Tl1 0.5000 0.0000 0.3651
Cu1 0.5000 0.0000 0.1622
Cu2 0.5000 0.0000 0.5684
```

Main lines, by intensity (5 to 70 degrees two-theta):
2θ/deg	intensity	index
33.36	100	1 1 1
35.87	64	1 0 4
38.63	48	0 1 5
28.51	47	0 1 3
57.01	34	1 2 4
42.77	27	0 2 0
65.65	20	2 1 5
50.87	16	2 0 0
57.12	16	1 1 7
68.58	13	2 2 0

[4]
Starting from a DFT-relaxed cell (GGA-PBE, OQMD), the X-ray powder pattern of Er3In3CuPt2 was computed for Cu Kα, 1.54184 Å.
Kinematic intensities with the Lorentz-polarization factor, no thermal factor.

Structure:
```
data_Er3In3CuPt2
_cell_length_a 7.6124
_cell_length_b 7.6124
_cell_length_c 3.7928
_cell_angle_alpha 90.00
_cell_angle_beta 90.00
_cell_angle_gamma 120.00
_space_group_name_H-M_alt 'P -6 2 m'
_space_group_IT_number 189
_space_group_name_Hall 'P -6 -2'
loop_
_atom_site_label
_atom_site_fract_x
_atom_site_fract_y
_atom_site_fract_z
Er1 0.0000 0.5887 0.0000
In1 0.0000 0.2521 0.5000
Cu1 0.0000 0.0000 0.0000
Pt1 0.3333 0.6667 0.5000
```

Main lines, by intensity (5 to 70 degrees two-theta):
2θ/deg	intensity	index
36.08	100	2 0 1
33.35	77	1 1 1
41.07	28	3 0 0
66.56	20	3 2 1
47.97	16	0 0 2
43.45	16	2 1 1
61.44	16	2 1 2
64.95	14	3 0 2
55.82	12	3 1 1
49.87	11	3 1 0

[5]
Starting from a DFT-relaxed cell (GGA-PBE, OQMD), the X-ray powder pattern of Tb2ErIn3CuPt2 was computed for Cu Kα, 1.54184 Å.
Kinematic intensities with the Lorentz-polarization factor, no thermal factor.

Structure:
```
data_Tb2ErIn3CuPt2
_cell_length_a 3.7305
_cell_length_b 13.4098
_cell_length_c 7.7598
_cell_angle_alpha 90.00
_cell_angle_beta 90.00
_cell_angle_gamma 90.00
_space_group_name_H-M_alt 'A m m 2'
_space_group_IT_number 38
loop_
_space_group_symop_operation_xyz
'x,y,z'
'-x,-y,z'
'-x,y,z'
'x,-y,z'
'x,y+1/2,z+1/2'
'-x,-y+1/2,z+1/2'
'-x,y+1/2,z+1/2'
'x,-y+1/2,z+1/2'
loop_
_atom_site_label
_atom_site_fract_x
_atom_site_fract_y
_atom_site_fract_z
Tb1 0.0000 0.2044 0.0000
Er1 0.0000 0.0000 0.3867
In1 0.5000 0.0000 0.0526
In2 0.5000 0.1280 0.6667
Cu1 0.0000 0.0000 0.7949
Pt1 0.5000 0.1651 0.2963
```

Main lines, by intensity (5 to 70 degrees two-theta):
2θ/deg	intensity	index
33.34	100	1 3 1
36.00	78	1 4 0
35.38	49	0 1 3
40.31	41	0 6 0
48.85	29	2 0 0
43.12	22	1 4 2
65.11	20	2 6 0
61.72	19	2 1 3
65.56	19	1 7 3
13.19	14	0 1 1

[6]
Starting from a DFT-relaxed cell (GGA-PBE, OQMD), the X-ray powder pattern of YEr2In3CuPt2 was computed for Cu Kα, 1.54184 Å.
Kinematic intensities with the Lorentz-polarization factor, no thermal factor.

Structure:
```
data_YEr2In3CuPt2
_cell_length_a 3.7062
_cell_length_b 13.4279
_cell_length_c 7.7279
_cell_angle_alpha 90.00
_cell_angle_beta 90.00
_cell_angle_gamma 90.00
_space_group_name_H-M_alt 'A m m 2'
_space_group_IT_number 38
loop_
_space_group_symop_operation_xyz
'x,y,z'
'-x,-y,z'
'-x,y,z'
'x,-y,z'
'x,y+1/2,z+1/2'
'-x,-y+1/2,z+1/2'
'-x,y+1/2,z+1/2'
'x,-y+1/2,z+1/2'
loop_
_atom_site_label
_atom_site_fract_x
_atom_site_fract_y
_atom_site_fract_z
Y1 0.0000 0.0000 0.0000
Er1 0.0000 0.2054 0.3846
In1 0.5000 0.0000 0.3342
In2 0.5000 0.1278 0.7174
Cu1 0.0000 0.0000 0.5888
Pt1 0.5000 0.1687 0.0909
```

Main lines, by intensity (5 to 70 degrees two-theta):
2θ/deg	intensity	index
33.48	100	1 0 2
36.14	83	1 2 2
35.42	53	0 5 1
40.40	31	0 3 3
43.25	28	1 5 1
65.69	21	1 7 3
49.17	21	2 0 0
65.43	21	2 3 3
62.05	21	2 5 1
13.19	20	0 2 0

[7]
Starting from a DFT-relaxed cell (GGA-PBE, OQMD), the X-ray powder pattern of Er3Zn3CuNiIr was computed for Cu Kα, 1.54184 Å.
Kinematic intensities with the Lorentz-polarization factor, no thermal factor.

Structure:
```
data_Er3Zn3CuNiIr
_cell_length_a 7.1121
_cell_length_b 7.1121
_cell_length_c 3.7339
_cell_angle_alpha 90.00
_cell_angle_beta 90.00
_cell_angle_gamma 120.00
_space_group_name_H-M_alt 'P -6'
_space_group_IT_number 174
loop_
_space_group_symop_operation_xyz
'x,y,z'
'-x+y,-x,-z'
'-y,x-y,z'
'x,y,-z'
'-x+y,-x,z'
'-y,x-y,-z'
loop_
_atom_site_label
_atom_site_fract_x
_atom_site_fract_y
_atom_site_fract_z
Er1 0.0001 0.4133 0.0000
Zn1 0.2501 0.2461 0.5000
Cu1 0.0000 0.0000 0.0000
Ni1 0.6667 0.3333 0.5000
Ir1 0.3333 0.6667 0.5000
```

Main lines, by intensity (5 to 70 degrees two-theta):
2θ/deg	intensity	index
34.84	100	1 1 1
37.87	91	2 0 1
38.68	44	1 2 0
14.38	28	1 0 0
44.11	27	3 0 0
59.51	24	3 1 1
48.78	22	0 0 2
63.92	20	1 2 2
53.65	19	1 3 0
45.94	19	2 1 1

[8]
Starting from a DFT-relaxed cell (GGA-PBE, OQMD), the X-ray powder pattern of ErCuSi2Ir was computed for Cu Kα, 1.54184 Å.
Kinematic intensities with the Lorentz-polarization factor, no thermal factor.

Structure:
```
data_ErCuSi2Ir
_cell_length_a 4.0190
_cell_length_b 4.0190
_cell_length_c 9.9508
_cell_angle_alpha 90.00
_cell_angle_beta 90.00
_cell_angle_gamma 90.00
_space_group_name_H-M_alt 'I -4 m 2'
_space_group_IT_number 119
_space_group_name_Hall 'I -4 -2'
loop_
_atom_site_label
_atom_site_fract_x
_atom_site_fract_y
_atom_site_fract_z
Er1 0.0000 0.0000 0.0000
Cu1 0.0000 0.5000 0.7500
Si1 0.0000 0.0000 0.3821
Ir1 0.0000 0.5000 0.2500
```

Main lines, by intensity (5 to 70 degrees two-theta):
2θ/deg	intensity	index
36.41	100	1 1 2
23.88	46	1 0 1
45.12	34	2 0 0
35.08	33	1 0 3
36.11	19	0 0 4
59.10	18	2 0 4
65.12	17	1 1 6
58.40	15	2 1 3
51.22	12	1 0 5
51.68	12	2 1 1

[9]
Starting from a DFT-relaxed cell (GGA-PBE, OQMD), the X-ray powder pattern of K2Er4Cu4Se9 was computed for Cu Kα, 1.54184 Å.
Kinematic intensities with the Lorentz-polarization factor, no thermal factor.

Structure:
```
data_K2Er4Cu4Se9
_cell_length_a 14.2873
_cell_length_b 4.0938
_cell_length_c 16.4339
_cell_angle_alpha 90.00
_cell_angle_beta 109.36
_cell_angle_gamma 90.00
_space_group_name_H-M_alt 'C 1 2/m 1'
_space_group_IT_number 12
loop_
_space_group_symop_operation_xyz
'x,y,z'
'-x,-y,-z'
'-x,y,-z'
'x,-y,z'
'x+1/2,y+1/2,z'
'-x+1/2,-y+1/2,-z'
'-x+1/2,y+1/2,-z'
'x+1/2,-y+1/2,z'
loop_
_atom_site_label
_atom_site_fract_x
_atom_site_fract_y
_atom_site_fract_z
K1 0.0331 0.0000 0.2697
Er1 0.1549 0.5000 0.5565
Er2 0.2318 0.0000 0.1034
Cu1 0.0756 0.5000 0.9712
Cu2 0.2405 0.0000 0.7289
Se1 0.0000 0.0000 0.5000
Se2 0.1077 0.5000 0.1299
Se3 0.1367 0.0000 0.9224
Se4 0.1443 0.5000 0.7229
Se5 0.1996 0.5000 0.3969
```

Main lines, by intensity (5 to 70 degrees two-theta):
2θ/deg	intensity	index
13.14	100	2 0 0
28.77	82	3 1 -1
44.25	60	0 2 0
42.56	60	6 0 1
44.97	54	3 1 -7
31.36	53	3 1 1
11.41	50	0 0 2
29.19	48	3 1 -2
34.13	44	3 1 2
38.40	43	5 1 -2

[10]
Starting from a DFT-relaxed cell (GGA-PBE, OQMD), the X-ray powder pattern of ErLuCu2 was computed for Cu Kα, 1.54184 Å.
Kinematic intensities with the Lorentz-polarization factor, no thermal factor.

Structure:
```
data_ErLuCu2
_cell_length_a 4.4004
_cell_length_b 5.3041
_cell_length_c 6.9674
_cell_angle_alpha 90.00
_cell_angle_beta 90.00
_cell_angle_gamma 90.00
_space_group_name_H-M_alt 'P m c 21'
_space_group_IT_number 26
loop_
_space_group_symop_operation_xyz
'x,y,z'
'-x,-y,z+1/2'
'-x,y,z'
'x,-y,z+1/2'
loop_
_atom_site_label
_atom_site_fract_x
_atom_site_fract_y
_atom_site_fract_z
Er1 0.0000 0.1149 0.0000
Lu1 0.5000 0.3854 0.6373
Cu1 0.0000 0.3812 0.3534
Cu2 0.5000 0.1232 0.2854
```

Main lines, by intensity (5 to 70 degrees two-theta):
2θ/deg	intensity	index
32.79	100	1 0 2
37.02	96	1 1 2
29.32	90	1 1 1
36.24	86	0 2 1
41.83	78	1 2 1
41.02	62	2 0 0
55.88	50	2 2 1
42.49	42	0 1 3
26.32	41	1 1 0
60.54	29	2 1 3

[11]
Starting from a DFT-relaxed cell (GGA-PBE, OQMD), the X-ray powder pattern of ErLuCu2Sn2 was computed for Cu Kα, 1.54184 Å.
Kinematic intensities with the Lorentz-polarization factor, no thermal factor.

Structure:
```
data_ErLuCu2Sn2
_cell_length_a 4.5008
_cell_length_b 4.5008
_cell_length_c 7.1327
_cell_angle_alpha 90.00
_cell_angle_beta 90.00
_cell_angle_gamma 120.00
_space_group_name_H-M_alt 'P 3 m 1'
_space_group_IT_number 156
loop_
_space_group_symop_operation_xyz
'x,y,z'
'-y,x-y,z'
'-x+y,-x,z'
'-y,-x,z'
'-x+y,y,z'
'x,x-y,z'
loop_
_atom_site_label
_atom_site_fract_x
_atom_site_fract_y
_atom_site_fract_z
Er1 0.0000 0.0000 0.0000
Lu1 0.0000 0.0000 0.4996
Cu1 0.3333 0.6667 0.8199
Cu2 0.6667 0.3333 0.3254
Sn1 0.3333 0.6667 0.2317
Sn2 0.6667 0.3333 0.7282
```

Main lines, by intensity (5 to 70 degrees two-theta):
2θ/deg	intensity	index
34.07	100	1 0 2
40.07	67	1 1 0
53.59	28	0 2 2
68.97	26	2 1 2
66.95	16	1 1 4
26.05	13	1 0 1
44.64	13	0 1 3
22.81	12	1 0 0
56.77	6	0 1 4
51.23	6	0 0 4

[12]
Starting from a DFT-relaxed cell (GGA-PBE, OQMD), the X-ray powder pattern of ErLu6Cu2Te2 was computed for Cu Kα, 1.54184 Å.
Kinematic intensities with the Lorentz-polarization factor, no thermal factor.

Structure:
```
data_ErLu6Cu2Te2
_cell_length_a 3.9131
_cell_length_b 15.0803
_cell_length_c 9.4214
_cell_angle_alpha 90.00
_cell_angle_beta 90.00
_cell_angle_gamma 90.00
_space_group_name_H-M_alt 'I m m 2'
_space_group_IT_number 44
loop_
_space_group_symop_operation_xyz
'x,y,z'
'-x,-y,z'
'-x,y,z'
'x,-y,z'
'x+1/2,y+1/2,z+1/2'
'-x+1/2,-y+1/2,z+1/2'
'-x+1/2,y+1/2,z+1/2'
'x+1/2,-y+1/2,z+1/2'
loop_
_atom_site_label
_atom_site_fract_x
_atom_site_fract_y
_atom_site_fract_z
Er1 0.0000 0.0000 0.0000
Lu1 0.0000 0.1324 0.5845
Lu2 0.0000 0.3147 0.3791
Lu3 0.0000 0.3553 0.7362
Cu1 0.0000 0.2358 0.0731
Te1 0.0000 0.0000 0.3402
Te2 0.0000 0.5000 0.2335
```

Main lines, by intensity (5 to 70 degrees two-theta):
2θ/deg	intensity	index
34.38	100	1 4 1
33.65	74	0 3 3
30.29	66	1 1 2
34.74	56	1 3 2
46.41	31	2 0 0
58.54	31	2 3 3
52.23	24	1 7 2
31.14	22	0 5 1
28.92	22	1 3 0
36.69	21	1 0 3

[13]
Starting from a DFT-relaxed cell (GGA-PBE, OQMD), the X-ray powder pattern of Er4TmLu2Cu2Te2 was computed for Cu Kα, 1.54184 Å.
Kinematic intensities with the Lorentz-polarization factor, no thermal factor.

Structure:
```
data_Er4TmLu2Cu2Te2
_cell_length_a 3.9340
_cell_length_b 15.2266
_cell_length_c 9.5020
_cell_angle_alpha 90.00
_cell_angle_beta 90.00
_cell_angle_gamma 90.00
_space_group_name_H-M_alt 'I m m 2'
_space_group_IT_number 44
loop_
_space_group_symop_operation_xyz
'x,y,z'
'-x,-y,z'
'-x,y,z'
'x,-y,z'
'x+1/2,y+1/2,z+1/2'
'-x+1/2,-y+1/2,z+1/2'
'-x+1/2,y+1/2,z+1/2'
'x+1/2,-y+1/2,z+1/2'
loop_
_atom_site_label
_atom_site_fract_x
_atom_site_fract_y
_atom_site_fract_z
Er1 0.0000 0.1312 0.0000
Er2 0.0000 0.3558 0.1515
Tm1 0.0000 0.0000 0.4154
Lu1 0.0000 0.3151 0.7948
Cu1 0.0000 0.2352 0.4863
Te1 0.0000 0.0000 0.7536
Te2 0.0000 0.5000 0.6516
```

Main lines, by intensity (5 to 70 degrees two-theta):
2θ/deg	intensity	index
34.11	100	1 4 1
33.35	73	0 3 3
30.07	66	1 1 2
34.47	55	1 3 2
28.74	40	1 3 0
51.72	32	1 7 2
46.15	31	2 0 0
58.12	30	2 3 3
30.83	24	0 5 1
36.42	23	1 0 3

[14]
Starting from a DFT-relaxed cell (GGA-PBE, OQMD), the X-ray powder pattern of Y3Er2Lu2Cu2Te2 was computed for Cu Kα, 1.54184 Å.
Kinematic intensities with the Lorentz-polarization factor, no thermal factor.

Structure:
```
data_Y3Er2Lu2Cu2Te2
_cell_length_a 3.9634
_cell_length_b 15.3382
_cell_length_c 9.5161
_cell_angle_alpha 90.00
_cell_angle_beta 90.00
_cell_angle_gamma 90.00
_space_group_name_H-M_alt 'I m m 2'
_space_group_IT_number 44
loop_
_space_group_symop_operation_xyz
'x,y,z'
'-x,-y,z'
'-x,y,z'
'x,-y,z'
'x+1/2,y+1/2,z+1/2'
'-x+1/2,-y+1/2,z+1/2'
'-x+1/2,y+1/2,z+1/2'
'x+1/2,-y+1/2,z+1/2'
loop_
_atom_site_label
_atom_site_fract_x
_atom_site_fract_y
_atom_site_fract_z
Y1 0.0000 0.0000 0.0000
Y2 0.0000 0.3552 0.2595
Er1 0.0000 0.1305 0.4130
Lu1 0.0000 0.3150 0.6183
Cu1 0.0000 0.2381 0.9298
Te1 0.0000 0.0000 0.6600
Te2 0.0000 0.5000 0.7629
```

Main lines, by intensity (5 to 70 degrees two-theta):
2θ/deg	intensity	index
33.86	100	1 4 1
34.27	83	1 3 2
33.24	75	0 3 3
29.92	52	1 1 2
24.33	36	1 0 1
45.79	33	2 0 0
57.74	31	2 3 3
51.37	29	0 8 2
38.19	25	1 2 3
30.62	25	0 5 1